[1]
Structure and simulated powder diffraction line list of SrTeO3 (DFT lattice parameters and positions (PBE); λ = 1.5418 Å (Cu Kα)).

Crystal structure
Cell lengths 6.9302, 7.2772, 8.8083 Å; angles 90.00, 126.68, 90.00 degrees
Atoms (fractional coordinates):
Sr 0.1364 0.1276 0.3680
Sr 0.1364 0.3724 0.8680
Sr 0.8636 0.6276 0.1320
Sr 0.8636 0.8724 0.6320
Te 0.3701 0.6696 0.6055
Te 0.3701 0.8304 0.1055
Te 0.6299 0.1696 0.8945
Te 0.6299 0.3304 0.3945
O 0.0892 0.6813 0.9798
O 0.0892 0.8187 0.4798
O 0.2207 0.0311 0.9384
O 0.2207 0.4689 0.4384
O 0.3938 0.5939 0.8219
O 0.3938 0.9061 0.3219
O 0.6062 0.0939 0.6781
O 0.6062 0.4061 0.1781
O 0.7793 0.5311 0.5616
O 0.7793 0.9689 0.0616
O 0.9108 0.1813 0.5202
O 0.9108 0.3187 0.0202

Main lines, by angle (10 to 90 degrees two-theta):
index  d_spacing  I/Imax
2 0 -2  3.372  74
1 2 -1  3.202  100
0 1 2  3.178  73
1 1 1  3.135  41
2 1 0  2.596  47
2 1 -4  2.106  28
1 3 1  1.989  33
3 2 -3  1.913  21
1 3 -3  1.853  20
3 3 -1  1.601  23

[2]
Structure and simulated powder diffraction line list of SrTeO3 (DFT lattice parameters and positions (PBE); λ = 1.5418 Å (Cu Kα)).

Crystal structure
Cell lengths 5.9555, 9.2007, 12.3190 Å; angles 110.47, 90.05, 90.83 degrees
Atoms (fractional coordinates):
Sr 0.0000 0.0000 0.0000
Sr 0.0156 0.0321 0.4979
Sr 0.0590 0.3240 0.3221
Sr 0.5108 0.6918 0.4241
Sr 0.5396 0.0064 0.2434
Sr 0.5576 0.9825 0.7591
Te 0.0102 0.2977 0.8344
Te 0.0183 0.7658 0.2195
Te 0.0331 0.7220 0.6052
Te 0.4793 0.7178 0.8948
Te 0.5092 0.3174 0.1191
Te 0.5349 0.3083 0.5383
O 0.0347 0.5950 0.4478
O 0.2599 0.8478 0.3244
O 0.2616 0.8661 0.5949
O 0.2809 0.8551 0.8559
O 0.2991 0.2023 0.4326
O 0.2996 0.1666 0.1306
O 0.4115 0.4675 0.2575
O 0.4642 0.8021 0.0566
O 0.5217 0.5085 0.5342
O 0.7309 0.8242 0.8628
O 0.7586 0.2322 0.1695
O 0.7650 0.2123 0.4305
O 0.7832 0.8237 0.3306
O 0.7922 0.8499 0.5936
O 0.8305 0.1673 0.8935
O 0.8879 0.2250 0.6819
O 0.9001 0.4938 0.9059
O 0.9698 0.9423 0.1790

Main lines, by angle (10 to 90 degrees two-theta):
index  d_spacing  I/Imax
0 2 0  4.309  21
1 -1 2  4.180  14
1 -2 2  3.469  50
1 2 -2  3.434  100
1 1 2  3.396  52
0 1 -4  3.080  17
2 0 0  2.977  38
0 3 0  2.873  14
2 -1 4  2.140  25
0 2 4  2.084  23

[3]
Structure and simulated powder diffraction line list of Sr3TeO6 (DFT lattice parameters and positions (PBE); λ = 1.5418 Å (Cu Kα)).

Crystal structure
Cell lengths 5.9120, 6.1320, 10.3345 Å; angles 90.00, 124.87, 90.00 degrees
Atoms (fractional coordinates):
Sr 0.0000 0.0000 0.0000
Sr 0.0000 0.5000 0.5000
Sr 0.2599 0.0481 0.7460
Sr 0.2599 0.4519 0.2460
Sr 0.7401 0.5481 0.7540
Sr 0.7401 0.9519 0.2540
Te 0.5000 0.0000 0.5000
Te 0.5000 0.5000 0.0000
O 0.1817 0.0484 0.2821
O 0.1817 0.4516 0.7821
O 0.2743 0.6770 0.0428
O 0.2743 0.8230 0.5428
O 0.3953 0.2378 0.0646
O 0.3953 0.2622 0.5646
O 0.6047 0.7378 0.4354
O 0.6047 0.7622 0.9354
O 0.7257 0.1770 0.4572
O 0.7257 0.3230 0.9572
O 0.8183 0.5484 0.2179
O 0.8183 0.9516 0.7179

Main lines, by angle (10 to 90 degrees two-theta):
index  d_spacing  I/Imax
0 2 0  3.066  23
1 1 -3  3.004  100
2 0 -2  2.956  23
2 2 -2  2.128  24
0 0 4  2.120  13
1 3 -3  1.758  16
0 2 4  1.744  11
2 0 2  1.723  11
3 1 -5  1.716  23
2 2 -6  1.502  13

[4]
Structure and simulated powder diffraction line list of SrTe5O11 (DFT lattice parameters and positions (PBE); λ = 1.5418 Å (Cu Kα)).

Crystal structure
Cell lengths 7.1320, 3.9549, 20.7645 Å; angles 90.00, 92.67, 90.00 degrees
Atoms (fractional coordinates):
Sr 0.0000 0.0000 0.0000
Sr 0.5000 0.5000 0.0000
Te 0.0000 0.0000 0.5000
Te 0.1276 0.5000 0.6730
Te 0.2386 0.5000 0.1313
Te 0.3115 0.0000 0.3625
Te 0.3302 0.0000 0.7945
Te 0.5000 0.5000 0.5000
Te 0.6698 0.0000 0.2055
Te 0.6885 0.0000 0.6375
Te 0.7614 0.5000 0.8687
Te 0.8724 0.5000 0.3270
O 0.0519 0.0000 0.3977
O 0.1077 0.5000 0.2944
O 0.1517 0.0000 0.1132
O 0.1888 0.5000 0.5167
O 0.1908 0.5000 0.0343
O 0.1964 0.0000 0.7050
O 0.2715 0.5000 0.7631
O 0.4072 0.0000 0.4526
O 0.4180 0.5000 0.3824
O 0.4252 0.0000 0.2281
O 0.4958 0.5000 0.8840
O 0.5042 0.5000 0.1160
O 0.5748 0.0000 0.7719
O 0.5820 0.5000 0.6176
O 0.5928 0.0000 0.5474
O 0.7285 0.5000 0.2369
O 0.8036 0.0000 0.2950
O 0.8092 0.5000 0.9657
O 0.8112 0.5000 0.4833
O 0.8483 0.0000 0.8868
O 0.8923 0.5000 0.7056
O 0.9481 0.0000 0.6023

Main lines, by angle (10 to 90 degrees two-theta):
index  d_spacing  I/Imax
1 0 -3  5.081  50
0 0 6  3.457  20
2 0 -2  3.418  44
1 1 2  3.258  100
1 1 -4  2.907  22
2 0 4  2.874  22
0 1 5  2.862  17
3 1 0  2.036  21
0 2 0  1.977  23
2 2 -2  1.711  17